This entry pairs a crystal structure of TmVCd with its simulated XRD peak list. Radiation: a wavelength of 1.5418 Å. Structure: a cell relaxed with PBE.
Intensities are scaled so that the largest is 100.

Most intense lines, 10 to 90 degrees two-theta, sorted by position:
d 2.869, 31.2°, intensity 38
d 2.797, 32.0°, intensity 28
d 2.665, 33.6°, intensity 90
d 2.486, 36.1°, intensity 33
d 2.349, 38.3°, intensity 100
d 1.618, 56.9°, intensity 39

Cell and atoms:
a b c (Å): 14.4662 14.4662 14.4662
angles (deg): 12.85 12.85 12.85
Element x y z (fractional)
Tm (0.0934, 0.0934, 0.0934)
Tm (0.9066, 0.9066, 0.9066)
V (0.1850, 0.1850, 0.1850)
V (0.8150, 0.8150, 0.8150)
Cd (0.3037, 0.3037, 0.3037)
Cd (0.6963, 0.6963, 0.6963)